No. 1
Simulated PXRD pattern of K2CuSe2 for Cu Ka, from a crystal structure in OQMD, relaxed with PBE.

Atomic structure:
```
K2CuSe2
1.0
5.908 -1.862 0.000
5.908 1.862 0.000
-1.409 0.000 6.482
K Cu Se
2 1 2
Cartesian
1.594 0.000 1.375 K
8.813 0.000 5.107 K
5.203 0.000 3.241 Cu
0.260 0.000 4.559 Se
10.147 0.000 1.923 Se
```

Principal peaks in the range 10° ≤ 2θ ≤ 90°, by intensity:
| d (Å) | I/Imax |
| --- | --- |
| 4.853 | 100 |
| 2.318 | 96 |
| 2.676 | 77 |
| 6.482 | 66 |
| 2.354 | 45 |
| 3.123 | 45 |
| 1.961 | 44 |
| 2.427 | 37 |
| 3.544 | 36 |
| 2.873 | 30 |

---

No. 2
Simulated PXRD pattern of Nd2Sm2IBr4N for Cu Ka, from a crystal structure in OQMD, relaxed with PBE.

Atomic structure:
```
Nd2Sm2IBr4N
1.0
9.031 -1.955 0.000
9.031 1.955 0.000
-2.060 0.000 8.494
Nd Sm I Br N
2 2 1 4 1
Cartesian
-0.613 0.000 2.607 Nd
16.615 0.000 5.887 Nd
5.668 0.000 3.659 Sm
10.334 0.000 4.835 Sm
9.031 0.000 0.000 I
1.312 0.000 7.010 Br
2.411 0.000 2.893 Br
13.592 0.000 5.601 Br
14.691 0.000 1.484 Br
8.001 0.000 4.247 N
```

Principal peaks in the range 10° ≤ 2θ ≤ 90°, by intensity:
| d (Å) | I/Imax |
| --- | --- |
| 2.913 | 100 |
| 8.494 | 38 |
| 2.926 | 33 |
| 8.777 | 24 |
| 2.060 | 20 |
| 2.069 | 20 |
| 2.330 | 16 |
| 1.955 | 15 |
| 3.178 | 14 |
| 2.612 | 13 |

---

No. 3
Simulated PXRD pattern of SrPrNi2Ge4 for Cu Ka, from a crystal structure in OQMD, relaxed with PBE.

Atomic structure:
```
SrPrNi2Ge4
1.0
4.221 0.000 0.000
0.000 2.162 8.551
0.000 -2.162 8.551
Sr Pr Ni Ge
1 1 2 4
Cartesian
0.000 0.000 0.000 Sr
2.111 0.000 3.698 Pr
0.000 0.000 13.463 Ni
2.111 0.000 7.249 Ni
0.000 0.000 6.101 Ge
0.000 0.000 11.140 Ge
2.111 0.000 9.656 Ge
2.111 0.000 14.627 Ge
```

Principal peaks in the range 10° ≤ 2θ ≤ 90°, by intensity:
| d (Å) | I/Imax |
| --- | --- |
| 2.669 | 100 |
| 2.683 | 37 |
| 2.162 | 32 |
| 2.362 | 31 |
| 2.111 | 30 |
| 1.510 | 20 |
| 2.975 | 18 |
| 1.595 | 18 |
| 1.659 | 17 |
| 8.551 | 15 |